For AcSi2Pt8, the GGA-PBE geometry in Alexandria gives the theoretical powder diffractogram in this record (Cu Kα, 1.54184 Å).
Peak positions follow from Bragg's law for the DFT cell and can differ from measured ones.

Structural model:
a = 5.4342 Å, b = 5.4342 Å, c = 8.0094 Å
α = 90.00°, β = 90.00°, γ = 90.00°
Space group P4/mmm (No. 123)
Unique sites:
Ac1 0.0000 0.0000 0.0000 (multiplicity 1)
Si1 0.0000 0.5000 0.5000 (multiplicity 2)
Pt1 0.2525 0.2525 0.3079 (multiplicity 8)

Peak list (12 most intense, 10 to 90 degrees two-theta, low angle first)
- 2θ 11.05, intensity 41
- 2θ 22.20, intensity 42
- 2θ 32.97, intensity 66
- 2θ 33.57, intensity 46
- 2θ 34.87, intensity 36
- 2θ 40.10, intensity 100
- 2θ 47.31, intensity 51
- 2θ 47.76, intensity 43
- 2θ 52.85, intensity 17
- 2θ 59.25, intensity 37
- 2θ 67.93, intensity 29
- 2θ 83.06, intensity 25